Entry 1:
Computed X-ray diffraction stick pattern of NaSbP2S6 for CuKα, from a cell relaxed with PBE.
Kinematic intensities with the Lorentz-polarization factor, no thermal factor.

Unit cell a=11.426 b=7.410 c=11.935 alpha=90.00 beta=108.96 gamma=90.00
Atoms (fractional coordinates):
Na: 0.097 0.111 0.380
Na: 0.097 0.389 0.880
Na: 0.903 0.611 0.120
Na: 0.903 0.889 0.620
Sb: 0.368 0.661 0.679
Sb: 0.368 0.839 0.179
Sb: 0.632 0.161 0.821
Sb: 0.632 0.339 0.321
P: 0.254 0.122 0.704
P: 0.254 0.378 0.204
P: 0.256 0.600 0.335
P: 0.256 0.900 0.835
P: 0.744 0.100 0.165
P: 0.744 0.400 0.665
P: 0.746 0.622 0.796
P: 0.746 0.878 0.296
S: 0.080 0.210 0.634
S: 0.080 0.290 0.134
S: 0.158 0.696 0.724
S: 0.158 0.804 0.224
S: 0.188 0.506 0.457
S: 0.188 0.994 0.957
S: 0.323 0.509 0.085
S: 0.323 0.991 0.585
S: 0.376 0.193 0.304
S: 0.376 0.307 0.804
S: 0.436 0.691 0.390
S: 0.436 0.809 0.890
S: 0.564 0.191 0.110
S: 0.564 0.309 0.610
S: 0.624 0.693 0.196
S: 0.624 0.807 0.696
S: 0.677 0.009 0.415
S: 0.677 0.491 0.915
S: 0.812 0.006 0.043
S: 0.812 0.494 0.543
S: 0.842 0.196 0.776
S: 0.842 0.304 0.276
S: 0.920 0.710 0.866
S: 0.920 0.790 0.366

Main lines, sorted by position (10 to 90 degrees two-theta):
2θ (°), Rel. int.
14.49, 63
15.17, 72
15.70, 100
20.34, 73
33.01, 98
34.00, 69


Entry 2:
Computed X-ray diffraction stick pattern of HfMg6NbO8 for CuKα, from a cell relaxed with PBE.
Kinematic intensities with the Lorentz-polarization factor, no thermal factor.

Unit cell a=4.355 b=4.355 c=8.885 alpha=90.00 beta=90.00 gamma=90.00
Atoms (fractional coordinates):
Hf: 0.000 0.000 0.000
Mg: 0.000 0.000 0.500
Mg: 0.000 0.500 0.261
Mg: 0.000 0.500 0.739
Mg: 0.500 0.000 0.261
Mg: 0.500 0.000 0.739
Mg: 0.500 0.500 0.500
Nb: 0.500 0.500 0.000
O: 0.000 0.000 0.255
O: 0.000 0.000 0.745
O: 0.000 0.500 0.000
O: 0.000 0.500 0.500
O: 0.500 0.000 0.000
O: 0.500 0.000 0.500
O: 0.500 0.500 0.266
O: 0.500 0.500 0.734

Main lines, sorted by position (10 to 90 degrees two-theta):
2θ (°), Rel. int.
19.99, 52
30.73, 73
35.47, 87
40.62, 52
41.47, 100
59.44, 62


Entry 3:
Computed X-ray diffraction stick pattern of CaLa2BiO6 for CuKα, from a cell relaxed with PBE.
Kinematic intensities with the Lorentz-polarization factor, no thermal factor.

Unit cell a=6.250 b=6.250 c=6.250 alpha=58.88 beta=58.88 gamma=58.88
Atoms (fractional coordinates):
Ca: 0.000 0.000 0.000
La: 0.282 0.282 0.282
La: 0.718 0.718 0.718
Bi: 0.500 0.500 0.500
O: 0.135 0.378 0.706
O: 0.294 0.865 0.622
O: 0.378 0.706 0.135
O: 0.622 0.294 0.865
O: 0.706 0.135 0.378
O: 0.865 0.622 0.294

Main lines, sorted by position (10 to 90 degrees two-theta):
2θ (°), Rel. int.
17.63, 75
28.57, 81
29.07, 100
33.56, 44
41.21, 38
51.22, 36